(1)
Starting from a DFT-relaxed cell (GGA-PBE, the Materials Project), the powder X-ray diffraction pattern of Al2Ni9Pd was simulated for Cu Ka.
Intensities are scaled so that the largest is 1000.

Peak list (8 most intense, 10 to 80 degrees two-theta, sorted by position)
2θ = 26.08°, rel. 49
2θ = 29.84°, rel. 33
2θ = 39.12°, rel. 27
2θ = 43.57°, rel. 1000
2θ = 50.68°, rel. 315
2θ = 50.87°, rel. 152
2θ = 74.50°, rel. 92
2θ = 74.66°, rel. 179

Structural model:
```
Al2Ni9Pd
1.0
3.6022 0.0000 0.0000
0.0000 3.6022 0.0000
0.0000 0.0000 10.7692
Al Ni Pd
2 9 1
Direct
0.0000 0.0000 0.1633
0.0000 0.0000 0.8367
0.0000 0.5000 0.0000
0.0000 0.5000 0.3268
0.0000 0.5000 0.6732
0.5000 0.0000 0.0000
0.5000 0.0000 0.3268
0.5000 0.0000 0.6732
0.5000 0.5000 0.1643
0.5000 0.5000 0.5000
0.5000 0.5000 0.8357
0.0000 0.0000 0.5000
```

---

(2)
Starting from a DFT-relaxed cell (GGA-PBE, the Materials Project), the powder X-ray diffraction pattern of NaCaN3 was simulated for Cu Ka.
Intensities are scaled so that the largest is 1000.

Peak list (8 most intense, 10 to 80 degrees two-theta, sorted by position)
2θ = 14.78°, rel. 432
2θ = 16.06°, rel. 217
2θ = 20.52°, rel. 1000
2θ = 25.97°, rel. 251
2θ = 33.61°, rel. 970
2θ = 38.81°, rel. 427
2θ = 43.97°, rel. 713
2θ = 52.26°, rel. 467

Structural model:
```
NaCaN3
1.0
0.0000 4.6405 11.9849
3.5815 0.0000 11.9849
3.5815 4.6405 0.0000
Na Ca N
4 4 12
Direct
0.0570 0.0570 0.1930
0.1930 0.1930 0.0570
0.8070 0.8070 0.9430
0.9430 0.9430 0.8070
0.2984 0.2984 0.4516
0.4516 0.4516 0.2984
0.5484 0.5484 0.7016
0.7016 0.7016 0.5484
0.0260 0.5100 0.2194
0.1490 0.6010 0.6010
0.2194 0.7446 0.0260
0.2554 0.7806 0.4900
0.3990 0.8510 0.8510
0.4900 0.9740 0.2554
0.5100 0.0260 0.7446
0.6010 0.1490 0.1490
0.7446 0.2194 0.5100
0.7806 0.2554 0.9740
0.8510 0.3990 0.3990
0.9740 0.4900 0.7806
```